[1]
The following is a computed X-ray powder pattern of MgTl2GaTe4. It was derived from a crystal structure in Alexandria, relaxed with GGA-PBE, using copper Kα.
Kinematic intensities with the Lorentz-polarization factor, no thermal factor.

Main lines, low angle first (2θ from 10° to 90°):
2θ (°)  intensity  index
26.9  66  2 1 1
28.8  36  1 1 2
30.4  45  2 2 0
32.7  100  2 0 2
34.1  38  3 1 0
53.1  24  3 3 2

Crystal structure
```
data_MgTl2GaTe4
_chemical_formula_sum 'Mg2 Tl4 Ga2 Te8'
_cell_length_a 8.3037
_cell_length_b 8.3037
_cell_length_c 7.2967
_cell_angle_alpha 90.00
_cell_angle_beta 90.00
_cell_angle_gamma 90.00
_symmetry_space_group_name_H-M 'I -4 2 m'
_symmetry_Int_Tables_number 121
_symmetry_space_group_name_Hall 'I -4 2'
loop_
_atom_site_label
_atom_site_fract_x
_atom_site_fract_y
_atom_site_fract_z
_atom_site_occupancy
Mg1 0.0000 0.0000 0.0000 1
Tl1 0.0000 0.5000 0.0000 1
Ga1 0.0000 0.0000 0.5000 1
Te1 0.1768 0.1768 0.7313 1
```

---

[2]
The following is a computed X-ray powder pattern of ThMgZn2Ga2. It was derived from a crystal structure in Alexandria, relaxed with GGA-PBE, using copper Kα.
Kinematic intensities with the Lorentz-polarization factor, no thermal factor.

Main lines, low angle first (2θ from 10° to 90°):
2θ (°)  intensity  index
12.5  27  0 0 1
26.6  62  1 0 1
34.6  100  1 0 2
41.2  60  1 1 0
54.8  27  0 2 2
70.8  32  2 1 2

Crystal structure
```
data_ThMgZn2Ga2
_chemical_formula_sum 'Th1 Mg1 Zn2 Ga2'
_cell_length_a 4.3857
_cell_length_b 4.3857
_cell_length_c 7.0993
_cell_angle_alpha 90.00
_cell_angle_beta 90.00
_cell_angle_gamma 120.00
_symmetry_space_group_name_H-M 'P -3 m 1'
_symmetry_Int_Tables_number 164
_symmetry_space_group_name_Hall '-P 3 2"'
loop_
_atom_site_label
_atom_site_fract_x
_atom_site_fract_y
_atom_site_fract_z
_atom_site_occupancy
Th1 0.0000 0.0000 0.0000 1
Mg1 0.0000 0.0000 0.5000 1
Zn1 0.3333 0.6667 0.2871 1
Ga1 0.3333 0.6667 0.7373 1
```

---

[3]
The following is a computed X-ray powder pattern of ThMg2Zn2Ga. It was derived from a crystal structure in Alexandria, relaxed with GGA-PBE, using copper Kα.
Kinematic intensities with the Lorentz-polarization factor, no thermal factor.

Main lines, low angle first (2θ from 10° to 90°):
2θ (°)  intensity  index
25.2  100  1 1 0
30.0  41  1 1 2
30.1  48  1 0 3
35.9  65  2 0 0
41.5  40  1 1 4
49.1  42  2 0 4

Crystal structure
```
data_ThMg2Zn2Ga
_chemical_formula_sum 'Th2 Mg4 Zn4 Ga2'
_cell_length_a 5.0048
_cell_length_b 5.0048
_cell_length_c 11.0405
_cell_angle_alpha 90.00
_cell_angle_beta 90.00
_cell_angle_gamma 90.00
_symmetry_space_group_name_H-M 'I 4/m m m'
_symmetry_Int_Tables_number 139
_symmetry_space_group_name_Hall '-I 4 2'
loop_
_atom_site_label
_atom_site_fract_x
_atom_site_fract_y
_atom_site_fract_z
_atom_site_occupancy
Th1 0.0000 0.0000 0.0000 1
Mg1 0.0000 0.5000 0.2500 1
Zn1 0.0000 0.0000 0.2859 1
Ga1 0.0000 0.0000 0.5000 1
```

---

[4]
The following is a computed X-ray powder pattern of Mg4Tl3Ga. It was derived from a crystal structure in Alexandria, relaxed with GGA-PBE, using copper Kα.
Kinematic intensities with the Lorentz-polarization factor, no thermal factor.

Main lines, low angle first (2θ from 10° to 90°):
2θ (°)  intensity  index
21.9  42  0 0 4
26.1  57  1 0 0
34.3  100  1 0 4
37.2  43  1 1 0
43.6  29  1 1 4
65.3  31  2 1 4

Crystal structure
```
data_Mg4Tl3Ga
_chemical_formula_sum 'Mg4 Tl3 Ga1'
_cell_length_a 3.4159
_cell_length_b 3.4159
_cell_length_c 16.2283
_cell_angle_alpha 90.00
_cell_angle_beta 90.00
_cell_angle_gamma 90.00
_symmetry_space_group_name_H-M 'P 4/m m m'
_symmetry_Int_Tables_number 123
_symmetry_space_group_name_Hall '-P 4 2'
loop_
_atom_site_label
_atom_site_fract_x
_atom_site_fract_y
_atom_site_fract_z
_atom_site_occupancy
Mg1 0.0000 0.0000 0.1052 1
Mg2 0.0000 0.0000 0.3694 1
Tl1 0.5000 0.5000 0.2385 1
Tl2 0.5000 0.5000 0.5000 1
Ga1 0.5000 0.5000 0.0000 1
```